1.
Diffraction record for Mn12O7F17. The powder X-ray diffraction pattern is simulated, not measured: it uses the PBE+U geometry in the Materials Project and a wavelength of 1.5418 Å.
Kinematic intensities with the Lorentz-polarization factor, no thermal factor.

Structure:
```
data_Mn12O7F17
_cell_length_a 5.058
_cell_length_b 5.683
_cell_length_c 15.360
_cell_angle_alpha 87.38
_cell_angle_beta 88.73
_cell_angle_gamma 86.25
_symmetry_space_group_name_H-M 'P 1'
_symmetry_Int_Tables_number 1
loop_
_symmetry_equiv_pos_as_xyz
'x,y,z'
loop_
_atom_site_label
_atom_site_fract_x
_atom_site_fract_y
_atom_site_fract_z
Mn1 0.000 0.000 0.000
Mn2 0.000 0.024 0.668
Mn3 0.013 0.048 0.330
Mn4 0.045 0.570 0.166
Mn5 0.060 0.728 0.502
Mn6 0.520 0.128 0.838
Mn7 0.536 0.214 0.158
Mn8 0.544 0.498 0.674
Mn9 0.547 0.670 0.350
Mn10 0.563 0.679 0.011
Mn11 0.566 0.232 0.498
Mn12 0.977 0.595 0.849
O1 0.353 0.519 0.450
O2 0.381 0.498 0.100
O3 0.739 0.887 0.922
O4 0.751 0.236 0.728
O5 0.839 0.998 0.557
O6 0.850 0.775 0.079
O7 0.853 0.798 0.401
F1 0.168 0.212 0.917
F2 0.206 0.256 0.240
F3 0.222 0.754 0.268
F4 0.226 0.957 0.770
F5 0.244 0.714 0.938
F6 0.262 0.741 0.616
F7 0.292 0.452 0.773
F8 0.327 0.007 0.420
F9 0.328 0.237 0.604
F10 0.333 0.995 0.072
F11 0.680 0.408 0.914
F12 0.695 0.980 0.248
F13 0.719 0.482 0.243
F14 0.777 0.735 0.736
F15 0.784 0.495 0.570
F16 0.814 0.301 0.401
F17 0.867 0.268 0.088
```

Largest 10 diffraction maxima, in order of falling intensity, 2θ from 5° to 70°:
28.16°, intensity 100; 29.85°, intensity 93; 29.45°, intensity 87; 30.28°, intensity 86; 50.32°, intensity 46; 51.36°, intensity 45; 22.87°, intensity 44; 41.02°, intensity 28; 35.57°, intensity 25; 60.25°, intensity 22



2.
Diffraction record for V11NiO18. The powder X-ray diffraction pattern is simulated, not measured: it uses the PBE+U geometry in the Materials Project and a wavelength of 1.5418 Å.
Kinematic intensities with the Lorentz-polarization factor, no thermal factor.

Structure:
```
data_V11NiO18
_cell_length_a 5.553
_cell_length_b 7.508
_cell_length_c 8.841
_cell_angle_alpha 112.78
_cell_angle_beta 105.49
_cell_angle_gamma 96.36
_symmetry_space_group_name_H-M 'P 1'
_symmetry_Int_Tables_number 1
loop_
_symmetry_equiv_pos_as_xyz
'x,y,z'
loop_
_atom_site_label
_atom_site_fract_x
_atom_site_fract_y
_atom_site_fract_z
V1 0.000 0.000 0.000
V2 0.001 0.501 0.998
V3 0.264 0.869 0.334
V4 0.265 0.369 0.340
V5 0.328 0.340 0.666
V6 0.332 0.835 0.670
V7 0.595 0.202 0.998
V8 0.601 0.703 0.000
V9 0.663 0.169 0.333
V10 0.669 0.667 0.335
V11 0.932 0.036 0.667
Ni1 0.926 0.542 0.669
O1 0.010 0.309 0.111
O2 0.035 0.330 0.449
O3 0.037 0.333 0.772
O4 0.234 0.040 0.565
O5 0.235 0.038 0.872
O6 0.263 0.071 0.234
O7 0.345 0.639 0.768
O8 0.359 0.661 0.435
O9 0.370 0.669 0.133
O10 0.555 0.369 0.234
O11 0.562 0.371 0.531
O12 0.596 0.397 0.898
O13 0.665 0.972 0.433
O14 0.696 0.005 0.101
O15 0.699 0.002 0.797
O16 0.903 0.707 0.905
O17 0.904 0.704 0.203
O18 0.931 0.737 0.562
```

Largest 10 diffraction maxima, in order of falling intensity, 2θ from 5° to 70°:
32.48°, intensity 100; 35.12°, intensity 81; 52.90°, intensity 57; 23.72°, intensity 50; 32.59°, intensity 49; 48.54°, intensity 40; 35.22°, intensity 39; 63.14°, intensity 39; 40.15°, intensity 29; 61.33°, intensity 25